1.
Computed powder X-ray diffraction pattern
Compound: MgFe4As4S4
Radiation: a wavelength of 1.5418 Å
Structure: a PBE-relaxed structure
Kinematic intensities with the Lorentz-polarization factor, no thermal factor.

abc: 5.712 6.023 6.092
angles: 70.61 88.94 88.81
Fractional coordinates of all 13 atoms:
Mg  0.000  0.000  0.000
Fe  0.005  0.270  0.235
Fe  0.012  0.725  0.768
Fe  0.508  0.225  0.769
Fe  0.509  0.768  0.234
As  0.170  0.867  0.400
As  0.366  0.368  0.363
As  0.649  0.626  0.641
As  0.843  0.124  0.599
S  0.163  0.368  0.847
S  0.382  0.835  0.860
S  0.632  0.159  0.144
S  0.855  0.625  0.158

Principal peaks in the range 2θ from 15° to 90°, in order of falling intensity:
d 2.557, 2θ 35.1, I 100
d 2.447, 2θ 36.7, I 74
d 2.579, 2θ 34.8, I 72
d 1.902, 2θ 47.8, I 58
d 2.498, 2θ 35.9, I 56
d 1.750, 2θ 52.3, I 56
d 3.782, 2θ 23.5, I 54
d 1.882, 2θ 48.4, I 49
d 1.674, 2θ 54.9, I 48
d 1.671, 2θ 55.0, I 47

2.
Computed powder X-ray diffraction pattern
Compound: MgFe4As4S4
Radiation: a wavelength of 1.5418 Å
Structure: a PBE-relaxed structure
Kinematic intensities with the Lorentz-polarization factor, no thermal factor.

abc: 5.867 5.980 5.994
angles: 71.94 87.94 88.91
Fractional coordinates of all 13 atoms:
Mg  0.000  0.000  0.000
Fe  0.225  0.807  0.373
Fe  0.232  0.378  0.792
Fe  0.707  0.353  0.296
Fe  0.718  0.812  0.833
As  0.102  0.257  0.232
As  0.403  0.958  0.955
As  0.584  0.945  0.448
As  0.829  0.269  0.672
S  0.085  0.736  0.741
S  0.355  0.445  0.416
S  0.586  0.450  0.906
S  0.837  0.702  0.284

Principal peaks in the range 2θ from 15° to 90°, in order of falling intensity:
d 2.845, 2θ 31.4, I 100
d 2.547, 2θ 35.2, I 85
d 2.471, 2θ 36.4, I 54
d 1.898, 2θ 47.9, I 48
d 2.279, 2θ 39.5, I 39
d 2.595, 2θ 34.6, I 39
d 1.758, 2θ 52.0, I 37
d 1.911, 2θ 47.6, I 36
d 2.566, 2θ 35.0, I 34
d 1.698, 2θ 54.0, I 32